Computed powder X-ray diffraction pattern of MnPd6Au3 for Cu Kα, 1.54184 Å, from a PBE-relaxed structure.

Structural model:
a b c (Å): 8.8394 15.1434 4.9614
angles (deg): 90.00 90.00 90.00
Space group Cmc2_1 (No. 36)
Unique sites:
Mn  0.0000  0.2186  0.0000 (multiplicity 4)
Pd  0.0000  0.0612  0.2070 (multiplicity 4)
Pd  0.0000  0.2911  0.5160 (multiplicity 4)
Pd  0.1625  0.4499  0.6229 (multiplicity 8)
Pd  0.2406  0.2117  0.2866 (multiplicity 8)
Au  0.0000  0.3941  0.0737 (multiplicity 4)
Au  0.1621  0.1025  0.6956 (multiplicity 8)

Largest 10 diffraction maxima, most intense first, 2θ = 15–90°:
hkl 3 3 1, 2θ 39.81, rel. 100; hkl 0 6 1, 2θ 40.08, rel. 59; hkl 0 2 2, 2θ 38.16, rel. 32; hkl 3 1 1, 2θ 35.94, rel. 28; hkl 2 4 1, 2θ 36.11, rel. 27; hkl 0 0 2, 2θ 36.21, rel. 22; hkl 3 3 0, 2θ 35.27, rel. 22; hkl 2 0 2, 2θ 41.76, rel. 20; hkl 0 6 0, 2θ 35.57, rel. 19; hkl 0 2 1, 2θ 21.41, rel. 18

---

Computed powder X-ray diffraction pattern of CaPr4Tl2 for Cu Kα, 1.54184 Å, from a PBE-relaxed structure.

Structural model:
a b c (Å): 6.3353 8.5551 9.5224
angles (deg): 82.51 75.45 70.75
Space group P1 (No. 1)
Unique sites:
Ca  0.0000  0.0000  0.0000 (multiplicity 1)
Ca  0.3593  0.2054  0.1031 (multiplicity 1)
Pr  0.1889  0.6237  0.2892 (multiplicity 1)
Pr  0.1933  0.5837  0.8767 (multiplicity 1)
Pr  0.2603  0.9037  0.6211 (multiplicity 1)
Pr  0.5645  0.1263  0.7433 (multiplicity 1)
Pr  0.6266  0.8055  0.2934 (multiplicity 1)
Pr  0.7489  0.4255  0.1339 (multiplicity 1)
Pr  0.8950  0.1054  0.3948 (multiplicity 1)
Pr  0.9110  0.3772  0.7181 (multiplicity 1)
Tl  0.3355  0.2271  0.4297 (multiplicity 1)
Tl  0.5257  0.4913  0.5264 (multiplicity 1)
Tl  0.5634  0.7765  0.9479 (multiplicity 1)
Tl  0.8458  0.7596  0.6022 (multiplicity 1)

Largest 10 diffraction maxima, most intense first, 2θ = 15–90°:
hkl 1 3 0, 2θ 32.04, rel. 100; hkl 2 1 2, 2θ 30.68, rel. 86; hkl 0 1 -3, 2θ 31.74, rel. 82; hkl -1 1 2, 2θ 30.84, rel. 68; hkl 1 2 3, 2θ 33.22, rel. 52; hkl 1 -2 1, 2θ 31.44, rel. 51; hkl 2 1 1, 2θ 28.29, rel. 41; hkl -1 1 1, 2θ 24.64, rel. 32; hkl 2 2 -1, 2θ 35.65, rel. 27; hkl 1 -2 2, 2θ 35.15, rel. 23

---

Computed powder X-ray diffraction pattern of Rb2Ho2TiS6 for Cu Kα, 1.54184 Å, from a PBE-relaxed structure.

Structural model:
a b c (Å): 6.7150 11.5116 8.1806
angles (deg): 90.00 106.51 90.00
Space group C2/m (No. 12)
Unique sites:
Rb  0.0000  0.1713  0.0000 (multiplicity 4)
Ho  0.0000  0.3331  0.5000 (multiplicity 4)
Ti  0.0000  0.0000  0.5000 (multiplicity 2)
S  0.2176  0.1533  0.6826 (multiplicity 8)
S  0.2420  0.0000  0.3193 (multiplicity 4)

Largest 10 diffraction maxima, most intense first, 2θ = 15–90°:
hkl 1 3 1, 2θ 30.92, rel. 100; hkl 2 0 -2, 2θ 30.51, rel. 51; hkl 1 3 -1, 2θ 27.77, rel. 49; hkl 3 3 -1, 2θ 46.98, rel. 40; hkl 0 0 2, 2θ 22.67, rel. 35; hkl 1 3 -3, 2θ 40.81, rel. 35; hkl 0 6 0, 2θ 47.40, rel. 31; hkl 1 1 -1, 2θ 16.98, rel. 26; hkl 2 0 2, 2θ 41.03, rel. 22; hkl 1 1 1, 2θ 21.62, rel. 18

---

Computed powder X-ray diffraction pattern of SiNi5 for Cu Kα, 1.54184 Å, from a PBE-relaxed structure.

Structural model:
a b c (Å): 3.5418 7.3713 4.9478
angles (deg): 90.00 90.00 90.00
Space group Pmmn (No. 59, origin choice 2)
Unique sites:
Si  0.2500  0.2500  0.1261 (multiplicity 2)
Ni  0.2500  0.2500  0.6279 (multiplicity 2)
Ni  0.2500  0.5832  0.1264 (multiplicity 4)
Ni  0.2500  0.5862  0.6294 (multiplicity 4)

Largest 10 diffraction maxima, most intense first, 2θ = 15–90°:
hkl 1 0 2, 2θ 44.68, rel. 100; hkl 1 3 0, 2θ 44.90, rel. 99; hkl 0 3 2, 2θ 52.49, rel. 60; hkl 2 3 2, 2θ 76.71, rel. 36; hkl 2 0 0, 2θ 51.61, rel. 32; hkl 0 0 4, 2θ 77.11, rel. 9; hkl 0 6 0, 2θ 77.73, rel. 9; hkl 1 1 0, 2θ 27.95, rel. 4; hkl 0 1 1, 2θ 21.63, rel. 3; hkl 1 1 1, 2θ 33.40, rel. 2

---

Computed powder X-ray diffraction pattern of Y4CuTe8 for Cu Kα, 1.54184 Å, from a PBE-relaxed structure.

Structural model:
a b c (Å): 11.1634 6.1955 15.2558
angles (deg): 90.00 132.87 90.00
Space group Pc (No. 7)
Unique sites:
Y  0.0000  0.0020  0.0000 (multiplicity 2)
Y  0.3751  0.4922  0.6862 (multiplicity 2)
Y  0.4921  0.0086  0.5003 (multiplicity 2)
Y  0.8792  0.4896  0.7017 (multiplicity 2)
Cu  0.7415  0.3259  0.4525 (multiplicity 2)
Te  0.0318  0.4871  0.0941 (multiplicity 2)
Te  0.1841  0.2489  0.4341 (multiplicity 2)
Te  0.1904  0.2515  0.9373 (multiplicity 2)
Te  0.3407  0.0057  0.2433 (multiplicity 2)
Te  0.5261  0.4986  0.9477 (multiplicity 2)
Te  0.6845  0.2563  0.2569 (multiplicity 2)
Te  0.6847  0.2418  0.7579 (multiplicity 2)
Te  0.8448  0.0048  0.6080 (multiplicity 2)

Largest 10 diffraction maxima, most intense first, 2θ = 15–90°:
hkl 2 2 0, 2θ 36.38, rel. 100; hkl 1 2 -2, 2θ 31.16, rel. 94; hkl 1 0 -4, 2θ 25.77, rel. 89; hkl 4 0 -2, 2θ 34.94, rel. 89; hkl 3 0 -2, 2θ 24.70, rel. 83; hkl 2 2 -2, 2θ 33.08, rel. 80; hkl 4 1 -6, 2θ 39.88, rel. 79; hkl 3 1 -4, 2θ 29.59, rel. 74; hkl 1 1 2, 2θ 28.64, rel. 48; hkl 2 2 -6, 2θ 47.58, rel. 39

---

Q: Number 5 is which compound?
A: Y4CuTe8